TlSnOsO6: simulated X-ray powder pattern (copper Kα), based on a structure optimized by DFT (PBE).
Peak positions follow from Bragg's law for the DFT cell and can differ from measured ones.

```
data_TlSnOsO6
_space_group_name_H-M_alt 'P 1'
_space_group_IT_number 1
_space_group_name_Hall 'P 1'
_cell_length_a 7.423
_cell_length_b 7.423
_cell_length_c 7.423
_cell_angle_alpha 120.74
_cell_angle_beta 120.63
_cell_angle_gamma 88.82
loop_
_atom_site_label
_atom_site_type_symbol
_atom_site_fract_x
_atom_site_fract_y
_atom_site_fract_z
_atom_site_occupancy
Tl1 Tl 0.338 0.088 0.250 1
Tl2 Tl 0.662 0.912 0.750 1
Sn1 Sn 0.000 0.000 0.500 1
Sn2 Sn 0.000 0.500 0.000 1
Os1 Os 0.000 0.500 0.500 1
Os2 Os 0.500 0.500 0.000 1
O1 O 0.079 0.438 0.275 1
O2 O 0.079 0.804 0.641 1
O3 O 0.081 0.831 0.250 1
O4 O 0.293 0.543 0.750 1
O5 O 0.337 0.196 0.775 1
O6 O 0.337 0.562 0.141 1
O7 O 0.663 0.438 0.859 1
O8 O 0.663 0.804 0.225 1
O9 O 0.707 0.457 0.250 1
O10 O 0.919 0.169 0.750 1
O11 O 0.921 0.196 0.359 1
O12 O 0.921 0.562 0.725 1
```

Main lines, in order of rising 2θ (15° ≤ 2θ ≤ 90°):
d (Å), I (rel.)
3.711, 21.4
3.671, 15.2
3.186, 41.9
3.139, 100.0
3.019, 50.9
2.013, 16.2
2.001, 21.3
1.855, 26.3
1.837, 18.0
1.570, 15.1



MgSi: simulated X-ray powder pattern (copper Kα), based on a structure optimized by DFT (PBE).
Peak positions follow from Bragg's law for the DFT cell and can differ from measured ones.

```
data_MgSi
_space_group_name_H-M_alt 'P 1'
_space_group_IT_number 1
_space_group_name_Hall 'P 1'
_cell_length_a 5.295
_cell_length_b 5.356
_cell_length_c 8.881
_cell_angle_alpha 102.85
_cell_angle_beta 90.48
_cell_angle_gamma 109.28
loop_
_atom_site_label
_atom_site_type_symbol
_atom_site_fract_x
_atom_site_fract_y
_atom_site_fract_z
_atom_site_occupancy
Mg1 Mg 0.000 0.000 0.000 1
Mg2 Mg 0.018 0.404 0.398 1
Mg3 Mg 0.354 0.685 0.826 1
Mg4 Mg 0.398 0.035 0.452 1
Mg5 Mg 0.585 0.408 0.082 1
Mg6 Mg 0.903 0.075 0.667 1
Si1 Si 0.134 0.598 0.130 1
Si2 Si 0.424 0.188 0.775 1
Si3 Si 0.561 0.940 0.157 1
Si4 Si 0.567 0.587 0.477 1
Si5 Si 0.801 0.550 0.706 1
Si6 Si 0.873 0.848 0.328 1
```

Main lines, in order of rising 2θ (15° ≤ 2θ ≤ 90°):
d (Å), I (rel.)
2.875, 75.1
2.686, 49.5
2.591, 68.5
2.524, 49.0
2.453, 48.7
2.397, 100.0
2.339, 76.6
2.244, 47.8
2.156, 62.3
2.037, 85.3



Sr2AlCO3F5: simulated X-ray powder pattern (copper Kα), based on a structure optimized by DFT (PBE).
Peak positions follow from Bragg's law for the DFT cell and can differ from measured ones.

```
data_Sr2AlCO3F5
_space_group_name_H-M_alt 'P 1'
_space_group_IT_number 1
_space_group_name_Hall 'P 1'
_cell_length_a 5.336
_cell_length_b 9.839
_cell_length_c 12.751
_cell_angle_alpha 90.00
_cell_angle_beta 92.39
_cell_angle_gamma 90.00
loop_
_atom_site_label
_atom_site_type_symbol
_atom_site_fract_x
_atom_site_fract_y
_atom_site_fract_z
_atom_site_occupancy
Sr1 Sr 0.204 0.051 0.330 1
Sr2 Sr 0.204 0.449 0.830 1
Sr3 Sr 0.235 0.668 0.511 1
Sr4 Sr 0.235 0.832 0.011 1
Sr5 Sr 0.765 0.168 0.989 1
Sr6 Sr 0.765 0.332 0.489 1
Sr7 Sr 0.796 0.551 0.170 1
Sr8 Sr 0.796 0.949 0.670 1
Al1 Al 0.275 0.087 0.823 1
Al2 Al 0.275 0.413 0.323 1
Al3 Al 0.725 0.587 0.677 1
Al4 Al 0.725 0.913 0.177 1
C1 C 0.293 0.119 0.586 1
C2 C 0.293 0.381 0.086 1
C3 C 0.707 0.619 0.914 1
C4 C 0.707 0.881 0.414 1
O1 O 0.116 0.141 0.517 1
O2 O 0.116 0.359 0.017 1
O3 O 0.230 0.066 0.677 1
O4 O 0.230 0.434 0.177 1
O5 O 0.472 0.636 0.930 1
O6 O 0.472 0.864 0.430 1
O7 O 0.528 0.136 0.570 1
O8 O 0.528 0.364 0.070 1
O9 O 0.770 0.566 0.823 1
O10 O 0.770 0.934 0.323 1
O11 O 0.884 0.641 0.983 1
O12 O 0.884 0.859 0.483 1
F1 F 0.002 0.696 0.676 1
F2 F 0.002 0.804 0.176 1
F3 F 0.087 0.569 0.332 1
F4 F 0.087 0.931 0.832 1
F5 F 0.275 0.083 0.969 1
F6 F 0.275 0.417 0.469 1
F7 F 0.435 0.007 0.170 1
F8 F 0.435 0.493 0.670 1
F9 F 0.464 0.242 0.831 1
F10 F 0.464 0.258 0.331 1
F11 F 0.536 0.742 0.669 1
F12 F 0.536 0.758 0.169 1
F13 F 0.565 0.507 0.330 1
F14 F 0.565 0.993 0.830 1
F15 F 0.725 0.583 0.531 1
F16 F 0.725 0.917 0.031 1
F17 F 0.913 0.069 0.168 1
F18 F 0.913 0.431 0.668 1
F19 F 0.998 0.196 0.824 1
F20 F 0.998 0.304 0.324 1
```

Main lines, in order of rising 2θ (15° ≤ 2θ ≤ 90°):
d (Å), I (rel.)
5.346, 39.4
3.896, 100.0
3.843, 40.5
3.711, 53.1
3.504, 86.1
3.180, 53.4
2.791, 85.4
2.241, 37.9
2.123, 55.6
1.991, 38.0



Nd7GeS5: simulated X-ray powder pattern (copper Kα), based on a structure optimized by DFT (PBE).
Peak positions follow from Bragg's law for the DFT cell and can differ from measured ones.

```
data_Nd7GeS5
_space_group_name_H-M_alt 'P 1'
_space_group_IT_number 1
_space_group_name_Hall 'P 1'
_cell_length_a 6.974
_cell_length_b 6.974
_cell_length_c 24.135
_cell_angle_alpha 90.03
_cell_angle_beta 90.03
_cell_angle_gamma 34.23
loop_
_atom_site_label
_atom_site_type_symbol
_atom_site_fract_x
_atom_site_fract_y
_atom_site_fract_z
_atom_site_occupancy
Nd1 Nd 0.035 0.035 0.250 1
Nd2 Nd 0.137 0.137 0.537 1
Nd3 Nd 0.137 0.137 0.963 1
Nd4 Nd 0.315 0.315 0.177 1
Nd5 Nd 0.315 0.315 0.322 1
Nd6 Nd 0.408 0.408 0.611 1
Nd7 Nd 0.408 0.408 0.888 1
Nd8 Nd 0.592 0.592 0.112 1
Nd9 Nd 0.592 0.592 0.389 1
Nd10 Nd 0.685 0.685 0.678 1
Nd11 Nd 0.685 0.685 0.823 1
Nd12 Nd 0.863 0.863 0.037 1
Nd13 Nd 0.863 0.863 0.463 1
Nd14 Nd 0.965 0.965 0.750 1
Ge1 Ge 0.304 0.304 0.750 1
Ge2 Ge 0.696 0.696 0.250 1
S1 S 0.047 0.047 0.643 1
S2 S 0.047 0.047 0.857 1
S3 S 0.226 0.226 0.429 1
S4 S 0.227 0.227 0.071 1
S5 S 0.500 0.500 0.000 1
S6 S 0.500 0.500 0.500 1
S7 S 0.773 0.773 0.929 1
S8 S 0.774 0.774 0.571 1
S9 S 0.953 0.953 0.143 1
S10 S 0.953 0.953 0.357 1
```

Main lines, in order of rising 2θ (15° ≤ 2θ ≤ 90°):
d (Å), I (rel.)
3.301, 24.5
3.289, 49.2
3.062, 100.0
2.925, 93.0
2.824, 61.8
2.748, 24.2
2.054, 58.4
2.029, 29.0
1.723, 27.1
1.292, 25.2



LaBi3Au3: simulated X-ray powder pattern (copper Kα), based on a structure optimized by DFT (PBE).
Peak positions follow from Bragg's law for the DFT cell and can differ from measured ones.

```
data_LaBi3Au3
_space_group_name_H-M_alt 'P 1'
_space_group_IT_number 1
_space_group_name_Hall 'P 1'
_cell_length_a 7.800
_cell_length_b 7.800
_cell_length_c 7.800
_cell_angle_alpha 90.00
_cell_angle_beta 90.00
_cell_angle_gamma 90.00
loop_
_atom_site_label
_atom_site_type_symbol
_atom_site_fract_x
_atom_site_fract_y
_atom_site_fract_z
_atom_site_occupancy
La1 La 0.000 0.000 0.000 1
La2 La 0.500 0.500 0.500 1
Bi1 Bi 0.000 0.250 0.500 1
Bi2 Bi 0.000 0.750 0.500 1
Bi3 Bi 0.250 0.500 0.000 1
Bi4 Bi 0.500 0.000 0.250 1
Bi5 Bi 0.500 0.000 0.750 1
Bi6 Bi 0.750 0.500 0.000 1
Au1 Au 0.000 0.500 0.250 1
Au2 Au 0.000 0.500 0.750 1
Au3 Au 0.250 0.000 0.500 1
Au4 Au 0.500 0.250 0.000 1
Au5 Au 0.500 0.750 0.000 1
Au6 Au 0.750 0.000 0.500 1
```

Main lines, in order of rising 2θ (15° ≤ 2θ ≤ 90°):
d (Å), I (rel.)
5.516, 43.2
3.900, 41.3
3.184, 100.0
2.252, 52.0
2.085, 62.6
1.950, 40.0
1.424, 18.7
1.379, 26.4
1.265, 19.2
1.176, 21.2



Si2MoPtBr: simulated X-ray powder pattern (copper Kα), based on a structure optimized by DFT (PBE).
Peak positions follow from Bragg's law for the DFT cell and can differ from measured ones.

```
data_Si2MoPtBr
_space_group_name_H-M_alt 'P 1'
_space_group_IT_number 1
_space_group_name_Hall 'P 1'
_cell_length_a 4.821
_cell_length_b 4.821
_cell_length_c 4.744
_cell_angle_alpha 90.00
_cell_angle_beta 90.00
_cell_angle_gamma 90.00
loop_
_atom_site_label
_atom_site_type_symbol
_atom_site_fract_x
_atom_site_fract_y
_atom_site_fract_z
_atom_site_occupancy
Si1 Si 0.000 0.500 0.000 1
Si2 Si 0.500 0.000 0.000 1
Mo1 Mo 0.000 0.000 0.000 1
Pt1 Pt 0.500 0.500 0.500 1
Br1 Br 0.000 0.000 0.500 1
```

Main lines, in order of rising 2θ (15° ≤ 2θ ≤ 90°):
d (Å), I (rel.)
3.409, 100.0
3.382, 85.3
2.769, 64.0
2.411, 73.7
2.372, 35.2
1.963, 37.9
1.947, 42.2
1.705, 25.3
1.691, 49.3
1.384, 25.4



NaCd2AuO4: simulated X-ray powder pattern (copper Kα), based on a structure optimized by DFT (PBE).
Peak positions follow from Bragg's law for the DFT cell and can differ from measured ones.

```
data_NaCd2AuO4
_space_group_name_H-M_alt 'P 1'
_space_group_IT_number 1
_space_group_name_Hall 'P 1'
_cell_length_a 6.486
_cell_length_b 6.486
_cell_length_c 6.884
_cell_angle_alpha 116.41
_cell_angle_beta 116.41
_cell_angle_gamma 90.57
loop_
_atom_site_label
_atom_site_type_symbol
_atom_site_fract_x
_atom_site_fract_y
_atom_site_fract_z
_atom_site_occupancy
Na1 Na 0.000 0.000 0.000 1
Na2 Na 0.000 0.000 0.500 1
Cd1 Cd 0.000 0.500 0.000 1
Cd2 Cd 0.500 0.000 0.500 1
Cd3 Cd 0.500 0.500 0.000 1
Cd4 Cd 0.500 0.500 0.500 1
Au1 Au 0.000 0.500 0.500 1
Au2 Au 0.500 0.000 0.000 1
O1 O 0.172 0.672 0.401 1
O2 O 0.244 0.297 0.535 1
O3 O 0.297 0.244 0.035 1
O4 O 0.328 0.828 0.099 1
O5 O 0.672 0.172 0.901 1
O6 O 0.703 0.756 0.965 1
O7 O 0.756 0.703 0.465 1
O8 O 0.828 0.328 0.599 1
```

Main lines, in order of rising 2θ (15° ≤ 2θ ≤ 90°):
d (Å), I (rel.)
5.611, 29.9
4.609, 30.9
2.805, 100.0
2.736, 85.0
2.667, 64.2
2.305, 53.8
2.280, 45.6
1.744, 33.8
1.621, 27.9
1.578, 21.1



Ti5V2Ga: simulated X-ray powder pattern (copper Kα), based on a structure optimized by DFT (PBE).
Peak positions follow from Bragg's law for the DFT cell and can differ from measured ones.

```
data_Ti5V2Ga
_space_group_name_H-M_alt 'P 1'
_space_group_IT_number 1
_space_group_name_Hall 'P 1'
_cell_length_a 7.060
_cell_length_b 7.060
_cell_length_c 7.060
_cell_angle_alpha 158.03
_cell_angle_beta 102.44
_cell_angle_gamma 81.79
loop_
_atom_site_label
_atom_site_type_symbol
_atom_site_fract_x
_atom_site_fract_y
_atom_site_fract_z
_atom_site_occupancy
Ti1 Ti 0.000 0.000 0.000 1
Ti2 Ti 0.118 0.372 0.746 1
Ti3 Ti 0.375 0.628 0.746 1
Ti4 Ti 0.625 0.372 0.254 1
Ti5 Ti 0.882 0.628 0.254 1
V1 V 0.248 0.248 0.000 1
V2 V 0.752 0.752 0.000 1
Ga1 Ga 0.500 0.000 0.500 1
```

Main lines, in order of rising 2θ (15° ≤ 2θ ≤ 90°):
d (Å), I (rel.)
2.318, 20.1
2.285, 100.0
2.247, 72.6
2.211, 45.1
2.146, 32.9
1.672, 12.8
1.540, 21.0
1.334, 18.8
1.290, 13.5
1.159, 18.9



Rb2SbI6N: simulated X-ray powder pattern (copper Kα), based on a structure optimized by DFT (PBE).
Peak positions follow from Bragg's law for the DFT cell and can differ from measured ones.

```
data_Rb2SbI6N
_space_group_name_H-M_alt 'P 1'
_space_group_IT_number 1
_space_group_name_Hall 'P 1'
_cell_length_a 8.563
_cell_length_b 8.563
_cell_length_c 8.563
_cell_angle_alpha 125.28
_cell_angle_beta 125.28
_cell_angle_gamma 81.08
loop_
_atom_site_label
_atom_site_type_symbol
_atom_site_fract_x
_atom_site_fract_y
_atom_site_fract_z
_atom_site_occupancy
Rb1 Rb 0.250 0.750 0.500 1
Rb2 Rb 0.750 0.250 0.500 1
Sb1 Sb 0.000 0.000 0.000 1
I1 I 0.232 0.232 0.000 1
I2 I 0.270 0.270 0.540 1
I3 I 0.270 0.730 0.000 1
I4 I 0.730 0.270 0.000 1
I5 I 0.730 0.730 0.460 1
I6 I 0.768 0.768 0.000 1
N1 N 0.500 0.500 0.000 1
```

Main lines, in order of rising 2θ (15° ≤ 2θ ≤ 90°):
d (Å), I (rel.)
5.566, 14.1
3.398, 13.0
3.368, 100.0
3.254, 41.6
2.783, 53.9
2.115, 46.1
1.968, 18.2
1.900, 17.1
1.699, 23.2
1.684, 21.0



La6Ru3Pb: simulated X-ray powder pattern (copper Kα), based on a structure optimized by DFT (PBE).
Peak positions follow from Bragg's law for the DFT cell and can differ from measured ones.

```
data_La6Ru3Pb
_space_group_name_H-M_alt 'P 1'
_space_group_IT_number 1
_space_group_name_Hall 'P 1'
_cell_length_a 11.985
_cell_length_b 4.198
_cell_length_c 12.578
_cell_angle_alpha 90.00
_cell_angle_beta 107.30
_cell_angle_gamma 90.00
loop_
_atom_site_label
_atom_site_type_symbol
_atom_site_fract_x
_atom_site_fract_y
_atom_site_fract_z
_atom_site_occupancy
La1 La 0.021 0.250 0.388 1
La2 La 0.111 0.250 0.951 1
La3 La 0.199 0.750 0.257 1
La4 La 0.284 0.750 0.768 1
La5 La 0.346 0.250 0.532 1
La6 La 0.425 0.750 0.085 1
La7 La 0.575 0.250 0.915 1
La8 La 0.654 0.750 0.468 1
La9 La 0.716 0.250 0.232 1
La10 La 0.801 0.250 0.743 1
La11 La 0.889 0.750 0.049 1
La12 La 0.979 0.750 0.612 1
Ru1 Ru 0.032 0.250 0.170 1
Ru2 Ru 0.181 0.750 0.499 1
Ru3 Ru 0.339 0.250 0.910 1
Ru4 Ru 0.661 0.750 0.090 1
Ru5 Ru 0.819 0.250 0.501 1
Ru6 Ru 0.968 0.750 0.830 1
Pb1 Pb 0.445 0.250 0.304 1
Pb2 Pb 0.555 0.750 0.696 1
```

Main lines, in order of rising 2θ (15° ≤ 2θ ≤ 90°):
d (Å), I (rel.)
3.440, 37.8
3.150, 39.7
3.117, 100.0
3.059, 80.0
2.991, 35.8
2.896, 58.9
2.823, 45.5
2.675, 40.5
2.298, 35.1
2.099, 62.6



Nd2ZnHg3: simulated X-ray powder pattern (copper Kα), based on a structure optimized by DFT (PBE).
Peak positions follow from Bragg's law for the DFT cell and can differ from measured ones.

```
data_Nd2ZnHg3
_space_group_name_H-M_alt 'P 1'
_space_group_IT_number 1
_space_group_name_Hall 'P 1'
_cell_length_a 9.824
_cell_length_b 9.245
_cell_length_c 6.066
_cell_angle_alpha 76.73
_cell_angle_beta 66.33
_cell_angle_gamma 36.94
loop_
_atom_site_label
_atom_site_type_symbol
_atom_site_fract_x
_atom_site_fract_y
_atom_site_fract_z
_atom_site_occupancy
Nd1 Nd 0.245 0.755 0.755 1
Nd2 Nd 0.250 0.250 0.250 1
Nd3 Nd 0.750 0.750 0.750 1
Nd4 Nd 0.755 0.245 0.245 1
Zn1 Zn 0.333 0.333 0.667 1
Zn2 Zn 0.667 0.667 0.333 1
Hg1 Hg 0.172 0.172 0.828 1
Hg2 Hg 0.173 0.655 0.345 1
Hg3 Hg 0.345 0.827 0.173 1
Hg4 Hg 0.655 0.173 0.827 1
Hg5 Hg 0.827 0.345 0.655 1
Hg6 Hg 0.828 0.828 0.172 1
```

Main lines, in order of rising 2θ (15° ≤ 2θ ≤ 90°):
d (Å), I (rel.)
3.588, 12.4
2.741, 100.0
2.456, 57.6
2.445, 28.4
2.027, 10.4
1.832, 10.3
1.826, 21.1
1.794, 12.2
1.449, 22.4
1.446, 11.1



Ba4Mg2Cl: simulated X-ray powder pattern (copper Kα), based on a structure optimized by DFT (PBE).
Peak positions follow from Bragg's law for the DFT cell and can differ from measured ones.

```
data_Ba4Mg2Cl
_space_group_name_H-M_alt 'P 1'
_space_group_IT_number 1
_space_group_name_Hall 'P 1'
_cell_length_a 9.945
_cell_length_b 9.945
_cell_length_c 9.945
_cell_angle_alpha 144.07
_cell_angle_beta 144.07
_cell_angle_gamma 51.72
loop_
_atom_site_label
_atom_site_type_symbol
_atom_site_fract_x
_atom_site_fract_y
_atom_site_fract_z
_atom_site_occupancy
Ba1 Ba 0.000 0.500 0.500 1
Ba2 Ba 0.187 0.187 0.000 1
Ba3 Ba 0.500 0.000 0.500 1
Ba4 Ba 0.813 0.813 0.000 1
Mg1 Mg 0.388 0.388 0.000 1
Mg2 Mg 0.612 0.612 0.000 1
Cl1 Cl 0.000 0.000 0.000 1
```

Main lines, in order of rising 2θ (15° ≤ 2θ ≤ 90°):
d (Å), I (rel.)
4.277, 24.5
3.903, 100.0
3.115, 27.0
3.092, 36.8
3.067, 63.6
2.178, 26.8
2.169, 23.6
2.139, 25.7
1.988, 19.7
1.896, 27.5